Record 1
For V3O5F3, a GGA+U-relaxed structure gives the simulated PXRD pattern in this record (CuKα).
Kinematic intensities with the Lorentz-polarization factor, no thermal factor.

Atomic structure:
a = 7.316 Å, b = 7.316 Å, c = 5.018 Å
α = 90.80°, β = 90.80°, γ = 102.69°
Positions (direct):
V  0.086  0.914  0.500
V  0.091  0.426  0.553
V  0.411  0.599  0.072
V  0.426  0.091  0.053
V  0.599  0.411  0.572
V  0.914  0.086  0.000
O  0.056  0.193  0.690
O  0.078  0.688  0.425
O  0.193  0.056  0.190
O  0.213  0.549  0.874
O  0.324  0.469  0.379
O  0.434  0.827  0.160
O  0.469  0.324  0.879
O  0.549  0.213  0.374
O  0.688  0.078  0.925
O  0.827  0.434  0.660
F  0.321  0.971  0.706
F  0.574  0.654  0.763
F  0.654  0.574  0.263
F  0.855  0.948  0.336
F  0.948  0.855  0.836
F  0.971  0.321  0.206

Top 10 peaks for 2θ = 5–70°, in order of rising 2θ:
d 7.136, intensity 36.8; d 4.569, intensity 37.3; d 4.071, intensity 58.6; d 3.770, intensity 40.5; d 3.568, intensity 69.6; d 3.516, intensity 48.4; d 2.932, intensity 100.0; d 2.884, intensity 95.0; d 2.171, intensity 44.9; d 1.671, intensity 52.5


Record 2
For NiAgS2O8, a GGA+U-relaxed structure gives the simulated PXRD pattern in this record (CuKα).
Kinematic intensities with the Lorentz-polarization factor, no thermal factor.

Atomic structure:
a = 7.948 Å, b = 7.948 Å, c = 7.948 Å
α = 34.85°, β = 34.85°, γ = 34.85°
Positions (direct):
Ni  0.000  0.000  0.000
Ag  0.500  0.500  0.500
S  0.256  0.256  0.256
S  0.744  0.744  0.744
O  0.011  0.740  0.418
O  0.189  0.189  0.189
O  0.260  0.582  0.989
O  0.418  0.011  0.740
O  0.582  0.989  0.260
O  0.740  0.418  0.011
O  0.811  0.811  0.811
O  0.989  0.260  0.582

Top 10 peaks for 2θ = 5–70°, in order of rising 2θ:
d 3.868, intensity 10.3; d 3.319, intensity 100.0; d 2.380, intensity 30.6; d 2.314, intensity 22.6; d 2.267, intensity 13.0; d 2.006, intensity 20.1; d 1.934, intensity 14.4; d 1.501, intensity 14.1; d 1.468, intensity 15.0; d 1.374, intensity 10.1